(1)
# SrIn4
Simulated powder X-ray diffraction pattern, Cu Kα X-rays. Input: a DFT-relaxed cell (GGA-PBE, the Materials Project).
Lines closer than 0.1° are merged.

Main lines, sorted by position (10° ≤ 2θ ≤ 90°):
(hkl), two_theta, intensity
3 1 -2, 29.29, 43
1 1 2, 29.50, 27
3 1 0, 29.65, 100
1 1 -3, 31.87, 68
0 2 0, 34.04, 80
2 0 3, 39.43, 26

Cell and atoms:
```
data_SrIn4
_chemical_formula_sum 'Sr4 In16'
_cell_length_a 12.1720
_cell_length_b 5.2676
_cell_length_c 10.0894
_cell_angle_alpha 90.00
_cell_angle_beta 115.12
_cell_angle_gamma 90.00
_symmetry_space_group_name_H-M 'C 1 2/m 1'
_symmetry_Int_Tables_number 12
loop_
_symmetry_equiv_pos_as_xyz
'x,y,z'
'-x,-y,-z'
'-x,y,-z'
'x,-y,z'
'x+1/2,y+1/2,z'
'-x+1/2,-y+1/2,-z'
'-x+1/2,y+1/2,-z'
'x+1/2,-y+1/2,z'
loop_
_atom_site_label
_atom_site_type_symbol
_atom_site_fract_x
_atom_site_fract_y
_atom_site_fract_z
Sr1 Sr 0.1660 0.0000 0.2088
In1 In 0.0646 0.5000 0.3993
In2 In 0.0774 0.5000 0.9234
In3 In 0.1504 0.0000 0.5520
In4 In 0.1527 0.0000 0.8501
```

(2)
# CsCr2S4
Simulated powder X-ray diffraction pattern, Cu Kα X-rays. Input: a DFT-relaxed cell (GGA-PBE, the Materials Project).
Lines closer than 0.1° are merged.

Main lines, sorted by position (10° ≤ 2θ ≤ 90°):
(hkl), two_theta, intensity
0 0 1, 15.55, 37
2 0 -1, 16.86, 43
4 0 0, 21.99, 41
3 1 0, 29.93, 33
3 1 1, 35.70, 100
9 1 -1, 56.24, 41

Cell and atoms:
```
data_CsCr2S4
_chemical_formula_sum 'Cs2 Cr4 S8'
_cell_length_a 16.6075
_cell_length_b 3.5833
_cell_length_c 5.8524
_cell_angle_alpha 90.00
_cell_angle_beta 103.23
_cell_angle_gamma 90.00
_symmetry_space_group_name_H-M 'C 1 2/m 1'
_symmetry_Int_Tables_number 12
loop_
_symmetry_equiv_pos_as_xyz
'x,y,z'
'-x,-y,-z'
'-x,y,-z'
'x,-y,z'
'x+1/2,y+1/2,z'
'-x+1/2,-y+1/2,-z'
'-x+1/2,y+1/2,-z'
'x+1/2,-y+1/2,z'
loop_
_atom_site_label
_atom_site_type_symbol
_atom_site_fract_x
_atom_site_fract_y
_atom_site_fract_z
Cs1 Cs 0.0000 0.0000 0.0000
Cr1 Cr 0.2456 0.5000 0.7291
S1 S 0.1627 0.0000 0.5271
S2 S 0.1761 0.5000 0.0445
```

(3)
# Sr5P3BrO12
Simulated powder X-ray diffraction pattern, Cu Kα X-rays. Input: a DFT-relaxed cell (GGA-PBE, the Materials Project).
Lines closer than 0.1° are merged.

Main lines, sorted by position (10° ≤ 2θ ≤ 90°):
(hkl), two_theta, intensity
2 1 1, 29.63, 69
1 1 2, 30.29, 100
3 0 0, 30.59, 67
2 2 2, 43.59, 42
2 1 3, 46.45, 20
4 1 0, 47.53, 21

Cell and atoms:
```
data_Sr5P3BrO12
_chemical_formula_sum 'Sr10 P6 Br2 O24'
_cell_length_a 10.1235
_cell_length_b 10.1235
_cell_length_c 7.2631
_cell_angle_alpha 90.00
_cell_angle_beta 90.00
_cell_angle_gamma 120.00
_symmetry_space_group_name_H-M 'P 63/m'
_symmetry_Int_Tables_number 176
_symmetry_space_group_name_Hall '-P 6c'
loop_
_atom_site_label
_atom_site_type_symbol
_atom_site_fract_x
_atom_site_fract_y
_atom_site_fract_z
Sr1 Sr 0.0027 0.2614 0.2500
Sr2 Sr 0.3333 0.6667 0.0014
P1 P 0.0353 0.4081 0.7500
Br1 Br 0.0000 0.0000 0.0000
O1 O 0.0885 0.3577 0.5762
O2 O 0.1231 0.5869 0.7500
O3 O 0.1407 0.6574 0.2500
```

(4)
# K2AsPCO7
Simulated powder X-ray diffraction pattern, Cu Kα X-rays. Input: a DFT-relaxed cell (GGA-PBE, the Materials Project).
Lines closer than 0.1° are merged.

Main lines, sorted by position (10° ≤ 2θ ≤ 90°):
(hkl), two_theta, intensity
0 1 1, 15.80, 63
1 0 2, 25.08, 56
2 0 0, 29.87, 54
1 2 -1, 30.83, 100
1 2 1, 32.10, 71
1 0 3, 33.08, 55

Cell and atoms:
```
data_K2AsPCO7
_chemical_formula_sum 'K4 As2 P2 C2 O14'
_cell_length_a 6.0427
_cell_length_b 6.8470
_cell_length_c 9.8851
_cell_angle_alpha 90.00
_cell_angle_beta 98.11
_cell_angle_gamma 90.00
_symmetry_space_group_name_H-M 'P 1 21/m 1'
_symmetry_Int_Tables_number 11
loop_
_symmetry_equiv_pos_as_xyz
'x,y,z'
'-x,-y,-z'
'-x,y+1/2,-z'
'x,-y+1/2,z'
loop_
_atom_site_label
_atom_site_type_symbol
_atom_site_fract_x
_atom_site_fract_y
_atom_site_fract_z
K1 K 0.2444 0.0128 0.2671
As1 As 0.3244 0.2500 0.8670
P1 P 0.2512 0.7500 0.9123
C1 C 0.2089 0.2500 0.6013
O1 O 0.0013 0.7500 0.9130
O2 O 0.0338 0.2500 0.6602
O3 O 0.2249 0.2500 0.4769
O4 O 0.3424 0.5664 0.8443
O5 O 0.3648 0.7500 0.0722
O6 O 0.4073 0.2500 0.6915
```

(5)
# Sr2SnS3F2
Simulated powder X-ray diffraction pattern, Cu Kα X-rays. Input: a DFT-relaxed cell (GGA-PBE, the Materials Project).
Lines closer than 0.1° are merged.

Main lines, sorted by position (10° ≤ 2θ ≤ 90°):
(hkl), two_theta, intensity
1 3 1, 25.16, 100
0 6 0, 28.04, 44
0 0 2, 29.61, 44
0 6 2, 41.26, 58
2 0 2, 42.44, 39
1 9 1, 47.89, 39

Cell and atoms:
```
data_Sr2SnS3F2
_chemical_formula_sum 'Sr8 Sn4 S12 F8'
_cell_length_a 6.0142
_cell_length_b 19.0946
_cell_length_c 6.0347
_cell_angle_alpha 90.00
_cell_angle_beta 90.00
_cell_angle_gamma 90.00
_symmetry_space_group_name_H-M 'P n m a'
_symmetry_Int_Tables_number 62
loop_
_symmetry_equiv_pos_as_xyz
'x,y,z'
'-x,-y,-z'
'-x+1/2,-y,z+1/2'
'x+1/2,y,-z+1/2'
'x+1/2,-y+1/2,-z+1/2'
'-x+1/2,y+1/2,z+1/2'
'-x,y+1/2,-z'
'x,-y+1/2,z'
loop_
_atom_site_label
_atom_site_type_symbol
_atom_site_fract_x
_atom_site_fract_y
_atom_site_fract_z
Sr1 Sr 0.2469 0.0737 0.0023
Sn1 Sn 0.1570 0.7500 0.9256
S1 S 0.2435 0.1331 0.5139
S2 S 0.2487 0.7500 0.5236
F1 F 0.0009 0.0002 0.7477
```

(6)
# Sr2HoCu2Bi2O8
Simulated powder X-ray diffraction pattern, Cu Kα X-rays. Input: a DFT-relaxed cell (GGA-PBE, the Materials Project).
Lines closer than 0.1° are merged.

Main lines, sorted by position (10° ≤ 2θ ≤ 90°):
(hkl), two_theta, intensity
1 0 3, 25.13, 39
1 0 5, 27.75, 42
1 0 7, 31.28, 100
1 1 0, 33.55, 85
2 0 0, 48.17, 40
2 1 7, 58.57, 36

Cell and atoms:
```
data_Sr2HoCu2Bi2O8
_chemical_formula_sum 'Sr4 Ho2 Cu4 Bi4 O16'
_cell_length_a 3.7779
_cell_length_b 3.7779
_cell_length_c 30.6188
_cell_angle_alpha 90.00
_cell_angle_beta 90.00
_cell_angle_gamma 90.00
_symmetry_space_group_name_H-M 'I 4/m m m'
_symmetry_Int_Tables_number 139
_symmetry_space_group_name_Hall '-I 4 2'
loop_
_atom_site_label
_atom_site_type_symbol
_atom_site_fract_x
_atom_site_fract_y
_atom_site_fract_z
Sr1 Sr 0.0000 0.0000 0.1148
Ho1 Ho 0.0000 0.0000 0.0000
Cu1 Cu 0.0000 0.0000 0.4489
Bi1 Bi 0.0000 0.0000 0.2955
O1 O 0.0000 0.0000 0.1995
O2 O 0.0000 0.0000 0.3650
O3 O 0.0000 0.5000 0.0480
```

(7)
# CuBiSeO
Simulated powder X-ray diffraction pattern, Cu Kα X-rays. Input: a DFT-relaxed cell (GGA-PBE, the Materials Project).
Lines closer than 0.1° are merged.

Main lines, sorted by position (10° ≤ 2θ ≤ 90°):
(hkl), two_theta, intensity
1 0 2, 30.01, 100
1 1 0, 32.05, 23
1 1 1, 33.58, 22
2 0 0, 45.95, 30
1 1 4, 51.95, 28
2 1 2, 55.85, 40

Cell and atoms:
```
data_CuBiSeO
_chemical_formula_sum 'Cu2 Bi2 Se2 O2'
_cell_length_a 3.9497
_cell_length_b 3.9497
_cell_length_c 9.0675
_cell_angle_alpha 90.00
_cell_angle_beta 90.00
_cell_angle_gamma 90.00
_symmetry_space_group_name_H-M 'P 4/n m m'
_symmetry_Int_Tables_number 129
loop_
_symmetry_equiv_pos_as_xyz
'x,y,z'
'-x,-y,-z'
'-y+1/2,x,z'
'y+1/2,-x,-z'
'-x+1/2,-y+1/2,z'
'x+1/2,y+1/2,-z'
'y,-x+1/2,z'
'-y,x+1/2,-z'
'x+1/2,-y,-z'
'-x+1/2,y,z'
'-y,-x,-z'
'y,x,z'
'-x,y+1/2,-z'
'x,-y+1/2,z'
'y+1/2,x+1/2,-z'
'-y+1/2,-x+1/2,z'
loop_
_atom_site_label
_atom_site_type_symbol
_atom_site_fract_x
_atom_site_fract_y
_atom_site_fract_z
Cu1 Cu 0.2500 0.7500 0.0000
Bi1 Bi 0.2500 0.2500 0.3602
Se1 Se 0.2500 0.2500 0.8272
O1 O 0.2500 0.7500 0.5000
```

(8)
# KTi5Se8
Simulated powder X-ray diffraction pattern, Cu Kα X-rays. Input: a DFT-relaxed cell (GGA-PBE, the Materials Project).
Lines closer than 0.1° are merged.

Main lines, sorted by position (10° ≤ 2θ ≤ 90°):
(hkl), two_theta, intensity
6 0 -2, 31.01, 47
3 1 1, 31.66, 100
3 1 -2, 32.85, 56
3 1 -3, 39.04, 40
9 1 -1, 50.22, 49
9 1 -7, 82.79, 27

Cell and atoms:
```
data_KTi5Se8
_chemical_formula_sum 'K2 Ti10 Se16'
_cell_length_a 18.9081
_cell_length_b 3.6209
_cell_length_c 9.2347
_cell_angle_alpha 90.00
_cell_angle_beta 104.89
_cell_angle_gamma 90.00
_symmetry_space_group_name_H-M 'C 1 2/m 1'
_symmetry_Int_Tables_number 12
loop_
_symmetry_equiv_pos_as_xyz
'x,y,z'
'-x,-y,-z'
'-x,y,-z'
'x,-y,z'
'x+1/2,y+1/2,z'
'-x+1/2,-y+1/2,-z'
'-x+1/2,y+1/2,-z'
'x+1/2,-y+1/2,z'
loop_
_atom_site_label
_atom_site_type_symbol
_atom_site_fract_x
_atom_site_fract_y
_atom_site_fract_z
K1 K 0.0000 0.0000 0.0000
Ti1 Ti 0.0000 0.5000 0.5000
Ti2 Ti 0.1557 0.0000 0.4990
Ti3 Ti 0.2085 0.0000 0.8481
Se1 Se 0.0739 0.0000 0.6748
Se2 Se 0.0867 0.5000 0.3208
Se3 Se 0.1605 0.5000 0.9977
Se4 Se 0.2434 0.5000 0.6653
```